For Pr4SiPd3, a crystal structure in Alexandria, relaxed with PBE gives the computed powder X-ray diffraction pattern in this record (copper Kα).
Peak positions follow from Bragg's law for the DFT cell and can differ from measured ones.

Cell and atoms:
a b c (Å): 4.1119 4.4369 11.0943
angles (deg): 90.00 90.00 90.00
Space group Pmm2 (No. 25)
One atom of each set of equivalent atoms:
Pr: 0.0000 0.0000 0.0000 [1 per cell]
Pr: 0.0000 0.5000 0.2771 [1 per cell]
Pr: 0.5000 0.0000 0.4980 [1 per cell]
Pr: 0.5000 0.5000 0.7749 [1 per cell]
Si: 0.5000 0.0000 0.2133 [1 per cell]
Pd: 0.0000 0.0000 0.7228 [1 per cell]
Pd: 0.0000 0.5000 0.5563 [1 per cell]
Pd: 0.5000 0.5000 0.0640 [1 per cell]

Most intense lines, 10° ≤ 2θ ≤ 80°, by angle:
| Position (°2θ) | intensity | hkl |
| --- | --- | --- |
| 25.71 | 15 | 0 1 2 |
| 30.72 | 100 | 1 1 1 |
| 32.28 | 28 | 0 0 4 |
| 32.56 | 31 | 1 0 3 |
| 38.27 | 19 | 0 1 4 |
| 38.52 | 60 | 1 1 3 |
| 40.67 | 27 | 0 2 0 |
| 44.04 | 22 | 2 0 0 |
| 53.04 | 16 | 1 2 3 |
| 61.49 | 16 | 2 2 0 |
| 71.19 | 16 | 2 2 4 |
| 77.59 | 14 | 1 2 7 |


For Nd2Er6Mg, a crystal structure in Alexandria, relaxed with PBE gives the computed powder X-ray diffraction pattern in this record (copper Kα).
Peak positions follow from Bragg's law for the DFT cell and can differ from measured ones.

Cell and atoms:
a b c (Å): 3.5386 3.5386 26.0025
angles (deg): 90.00 90.00 120.00
Space group P-6m2 (No. 187)
One atom of each set of equivalent atoms:
Nd: 0.0000 0.0000 0.1735 [2 per cell]
Er: 0.0000 0.0000 0.3957 [2 per cell]
Er: 0.6667 0.3333 0.0638 [2 per cell]
Er: 0.6667 0.3333 0.2894 [2 per cell]
Mg: 0.6667 0.3333 0.5000 [1 per cell]

Most intense lines, 10° ≤ 2θ ≤ 80°, by angle:
| Position (°2θ) | intensity | hkl |
| --- | --- | --- |
| 27.44 | 9 | 0 0 8 |
| 29.14 | 43 | 1 0 0 |
| 29.35 | 16 | 1 0 1 |
| 30.95 | 68 | 0 0 9 |
| 32.30 | 40 | 1 0 4 |
| 33.95 | 100 | 1 0 5 |
| 40.45 | 14 | 1 0 8 |
| 43.03 | 23 | 1 0 9 |
| 51.66 | 43 | 1 1 0 |
| 58.07 | 30 | 1 0 14 |
| 61.45 | 37 | 1 1 9 |
| 63.27 | 17 | 2 0 5 |


For Sm2Ga3Ge2, a crystal structure in Alexandria, relaxed with PBE gives the computed powder X-ray diffraction pattern in this record (copper Kα).
Peak positions follow from Bragg's law for the DFT cell and can differ from measured ones.

Cell and atoms:
a b c (Å): 4.4734 3.6345 9.6960
angles (deg): 90.00 103.04 90.00
Space group P2/m (No. 10)
One atom of each set of equivalent atoms:
Sm: 0.1423 0.0000 0.2819 [2 per cell]
Ga: 0.0000 0.5000 0.0000 [1 per cell]
Ga: 0.2823 0.5000 0.5659 [2 per cell]
Ge: 0.4179 0.5000 0.8375 [2 per cell]

Most intense lines, 10° ≤ 2θ ≤ 80°, by angle:
| Position (°2θ) | intensity | hkl |
| --- | --- | --- |
| 18.79 | 20 | 0 0 2 |
| 31.05 | 56 | 0 1 2 |
| 32.08 | 55 | 1 1 -1 |
| 34.85 | 100 | 1 1 1 |
| 37.80 | 20 | 0 1 3 |
| 38.88 | 45 | 1 0 3 |
| 39.07 | 45 | 1 0 -4 |
| 40.32 | 43 | 2 0 -1 |
| 50.20 | 23 | 0 2 0 |
| 65.26 | 19 | 1 2 3 |
| 65.39 | 19 | 1 2 -4 |
| 66.27 | 19 | 2 2 -1 |


For DyTm6Th12, a crystal structure in Alexandria, relaxed with PBE gives the computed powder X-ray diffraction pattern in this record (copper Kα).
Peak positions follow from Bragg's law for the DFT cell and can differ from measured ones.

Cell and atoms:
a b c (Å): 13.2840 13.2840 12.2838
angles (deg): 90.00 90.00 120.00
Space group R-3m (No. 166, hexagonal axes)
One atom of each set of equivalent atoms:
Dy: 0.0000 0.0000 0.0000 [3 per cell]
Tm: 0.0422 0.5211 0.6202 [18 per cell]
Th: 0.0000 0.2541 0.5000 [18 per cell]
Th: 0.0887 0.1774 0.2603 [18 per cell]

Most intense lines, 10° ≤ 2θ ≤ 80°, by angle:
| Position (°2θ) | intensity | hkl |
| --- | --- | --- |
| 28.91 | 13 | 1 3 1 |
| 30.12 | 30 | 1 0 4 |
| 31.60 | 33 | 3 1 2 |
| 31.97 | 100 | 4 0 1 |
| 34.43 | 26 | 0 4 2 |
| 34.77 | 25 | 2 2 3 |
| 50.52 | 15 | 3 0 6 |
| 55.33 | 16 | 4 4 0 |
| 56.52 | 12 | 7 0 1 |
| 57.20 | 15 | 4 3 4 |
| 58.12 | 13 | 0 7 2 |
| 65.35 | 14 | 0 8 1 |


For BaSrCd2I8, a crystal structure in Alexandria, relaxed with PBE gives the computed powder X-ray diffraction pattern in this record (copper Kα).
Peak positions follow from Bragg's law for the DFT cell and can differ from measured ones.

Cell and atoms:
a b c (Å): 7.6544 7.6544 11.0636
angles (deg): 90.00 90.00 120.00
Space group P-3 (No. 147)
One atom of each set of equivalent atoms:
Ba: 0.0000 0.0000 0.0000 [1 per cell]
Sr: 0.0000 0.0000 0.5000 [1 per cell]
Cd: 0.3333 0.6667 0.7587 [2 per cell]
I: 0.0205 0.6992 0.2964 [6 per cell]
I: 0.3333 0.6667 0.0105 [2 per cell]

Most intense lines, 10° ≤ 2θ ≤ 80°, by angle:
| Position (°2θ) | intensity | hkl |
| --- | --- | --- |
| 15.58 | 17 | 0 1 1 |
| 24.13 | 23 | 0 0 3 |
| 24.61 | 100 | 1 1 1 |
| 28.36 | 54 | 2 -1 2 |
| 32.37 | 15 | 0 0 4 |
| 33.75 | 13 | 1 1 3 |
| 40.23 | 32 | 1 1 4 |
| 40.84 | 47 | 3 0 0 |
| 47.47 | 18 | 1 1 5 |
| 48.00 | 18 | 3 0 3 |
| 48.26 | 14 | 4 -2 1 |
| 53.05 | 20 | 0 3 4 |


For Nd4Dy2Y3, a crystal structure in Alexandria, relaxed with PBE gives the computed powder X-ray diffraction pattern in this record (copper Kα).
Peak positions follow from Bragg's law for the DFT cell and can differ from measured ones.

Cell and atoms:
a b c (Å): 11.3843 5.1247 10.8375
angles (deg): 90.00 108.16 90.00
Space group C2/m (No. 12)
One atom of each set of equivalent atoms:
Nd: 0.0002 0.0000 0.1681 [4 per cell]
Nd: 0.1668 0.5000 0.3887 [4 per cell]
Dy: 0.1680 0.5000 0.7238 [4 per cell]
Y: 0.0000 0.0000 0.5000 [2 per cell]
Y: 0.1662 0.5000 0.0542 [4 per cell]

Most intense lines, 10° ≤ 2θ ≤ 80°, by angle:
| Position (°2θ) | intensity | hkl |
| --- | --- | --- |
| 17.22 | 2 | 0 0 2 |
| 19.94 | 3 | 1 1 -1 |
| 30.29 | 100 | 3 1 0 |
| 35.04 | 34 | 2 0 3 |
| 35.27 | 17 | 4 0 -3 |
| 50.39 | 12 | 2 2 3 |
| 50.57 | 24 | 6 0 0 |
| 59.93 | 28 | 5 1 3 |
| 60.25 | 14 | 7 1 -3 |
| 63.00 | 12 | 6 2 0 |
| 74.03 | 4 | 0 4 0 |
| 74.60 | 2 | 8 0 -6 |


For Cs2LaPmSe4, a crystal structure in Alexandria, relaxed with PBE gives the computed powder X-ray diffraction pattern in this record (copper Kα).
Peak positions follow from Bragg's law for the DFT cell and can differ from measured ones.

Cell and atoms:
a b c (Å): 7.6844 4.4355 8.7749
angles (deg): 90.00 106.95 90.00
Space group P2/m (No. 10)
One atom of each set of equivalent atoms:
Cs: 0.0000 0.0000 0.0000 [1 per cell]
Cs: 0.5000 0.5000 0.0000 [1 per cell]
La: 0.0000 0.5000 0.5000 [1 per cell]
Pm: 0.5000 0.0000 0.5000 [1 per cell]
Se: 0.2352 0.0000 0.6907 [2 per cell]
Se: 0.2750 0.5000 0.3105 [2 per cell]

Most intense lines, 10° ≤ 2θ ≤ 80°, by angle:
| Position (°2θ) | intensity | hkl |
| --- | --- | --- |
| 10.54 | 9 | 0 0 1 |
| 21.17 | 9 | 0 0 2 |
| 24.22 | 11 | 2 0 0 |
| 27.19 | 100 | 1 1 1 |
| 36.92 | 33 | 2 0 2 |
| 40.68 | 37 | 0 2 0 |
| 42.94 | 8 | 1 1 3 |
| 49.62 | 19 | 2 2 -2 |
| 56.09 | 10 | 2 2 2 |
| 60.76 | 10 | 3 1 3 |
| 66.03 | 16 | 1 3 1 |
| 71.56 | 9 | 1 3 -3 |